No. 1
The following is a calculated XRD peak list of Cu3BRu. It was derived from a cell relaxed with GGA-PBE, using Cu Ka.
Lines closer than 0.1° are merged.

Most intense lines, 2θ from 5° to 70°, by angle:
d 2.619, I 8.1
d 2.533, I 18.7
d 2.496, I 19.3
d 2.378, I 36.4
d 2.129, I 91.3
d 2.107, I 23.1
d 2.089, I 100.0
d 2.043, I 8.4
d 1.965, I 25.2
d 1.864, I 62.7
d 1.807, I 11.6
d 1.447, I 18.2

Crystal structure
```
data_Cu3BRu
_space_group_name_H-M_alt 'I m m 2'
_space_group_IT_number 44
_cell_length_a 2.893
_cell_length_b 15.716
_cell_length_c 4.932
_cell_angle_alpha 90.00
_cell_angle_beta 90.00
_cell_angle_gamma 90.00
loop_
_space_group_symop_operation_xyz
'x,y,z'
'-x,-y,z'
'-x,y,z'
'x,-y,z'
'x+1/2,y+1/2,z+1/2'
'-x+1/2,-y+1/2,z+1/2'
'-x+1/2,y+1/2,z+1/2'
'x+1/2,-y+1/2,z+1/2'
loop_
_atom_site_label
_atom_site_type_symbol
_atom_site_fract_x
_atom_site_fract_y
_atom_site_fract_z
_atom_site_occupancy
Cu1 Cu 0.000 0.000 0.000 1
Cu2 Cu 0.000 0.000 0.490 1
Cu3 Cu 0.000 0.387 0.744 1
Cu4 Cu 0.000 0.395 0.245 1
B1 B 0.000 0.175 0.521 1
Ru1 Ru 0.000 0.232 0.964 1
```

---

No. 2
The following is a calculated XRD peak list of InAu. It was derived from a cell relaxed with GGA-PBE, using Cu Ka.
Lines closer than 0.1° are merged.

Most intense lines, 2θ from 5° to 70°, by angle:
d 4.592, I 17.2
d 2.865, I 37.9
d 2.506, I 31.2
d 2.362, I 8.3
d 2.351, I 100.0
d 2.084, I 10.6
d 1.886, I 22.7
d 1.719, I 6.5
d 1.534, I 18.6
d 1.503, I 6.4
d 1.438, I 5.0
d 1.415, I 20.1

Crystal structure
```
data_InAu
_space_group_name_H-M_alt 'I m m a'
_space_group_IT_number 74
_space_group_name_Hall '-I 2b 2'
_cell_length_a 3.005
_cell_length_b 5.012
_cell_length_c 11.459
_cell_angle_alpha 90.00
_cell_angle_beta 90.00
_cell_angle_gamma 90.00
loop_
_atom_site_label
_atom_site_type_symbol
_atom_site_fract_x
_atom_site_fract_y
_atom_site_fract_z
_atom_site_occupancy
In1 In 0.000 0.250 0.103 1
Au1 Au 0.000 0.250 0.637 1
```

---

No. 3
The following is a calculated XRD peak list of RbPu3Br8. It was derived from a cell relaxed with GGA-PBE, using Cu Ka.
Lines closer than 0.1° are merged.

Most intense lines, 2θ from 5° to 70°, by angle:
d 7.355, I 11.6
d 6.635, I 69.3
d 3.896, I 51.1
d 3.104, I 100.0
d 2.803, I 12.6
d 2.315, I 12.5
d 2.298, I 27.3
d 2.285, I 13.5
d 2.176, I 9.0
d 2.119, I 11.2
d 2.103, I 22.1
d 1.839, I 13.5

Crystal structure
```
data_RbPu3Br8
_space_group_name_H-M_alt 'C 1 2/m 1'
_space_group_IT_number 12
_cell_length_a 14.253
_cell_length_b 9.139
_cell_length_c 8.538
_cell_angle_alpha 90.00
_cell_angle_beta 119.58
_cell_angle_gamma 90.00
loop_
_space_group_symop_operation_xyz
'x,y,z'
'-x,-y,-z'
'-x,y,-z'
'x,-y,z'
'x+1/2,y+1/2,z'
'-x+1/2,-y+1/2,-z'
'-x+1/2,y+1/2,-z'
'x+1/2,-y+1/2,z'
loop_
_atom_site_label
_atom_site_type_symbol
_atom_site_fract_x
_atom_site_fract_y
_atom_site_fract_z
_atom_site_occupancy
Rb1 Rb 0.000 0.000 0.000 1
Pu1 Pu 0.000 0.500 0.000 1
Pu2 Pu 0.250 0.250 0.500 1
Br1 Br 0.012 0.276 0.262 1
Br2 Br 0.236 0.500 0.709 1
Br3 Br 0.246 0.500 0.256 1
```